Record 1
Diffraction record for NaLaSe2. The powder X-ray diffraction pattern is theoretical, not measured: it uses the GGA-PBE geometry in the Materials Project and a wavelength of 1.5418 Å.
Neutral-atom scattering factors, no anomalous dispersion.

Crystal structure
```
NaLaSe2
1.0
4.372 0.000 0.000
0.000 4.372 0.000
0.000 0.000 5.910
Na La Se
1 1 2
direct
0.000 0.000 0.000
0.500 0.500 0.500
0.000 0.000 0.500
0.500 0.500 0.000
```

The 10 most intense peaks (2θ from 10° to 90°), sorted by position:
- 14.99°, rel. 28.8
- 20.31°, rel. 28.8
- 28.88°, rel. 100.0
- 30.24°, rel. 44.3
- 32.69°, rel. 17.5
- 41.30°, rel. 37.5
- 42.31°, rel. 69.9
- 52.04°, rel. 37.8
- 67.78°, rel. 16.8
- 75.99°, rel. 24.1

***

Record 2
Diffraction record for NaLa2Se3. The powder X-ray diffraction pattern is theoretical, not measured: it uses the GGA-PBE geometry in the Materials Project and a wavelength of 1.5418 Å.
Neutral-atom scattering factors, no anomalous dispersion.

Crystal structure
```
NaLa2Se3
1.0
4.331 0.000 0.000
-2.165 3.751 0.000
0.000 0.000 10.605
Na La Se
1 2 3
direct
0.000 0.000 0.000
0.333 0.667 0.671
0.667 0.333 0.329
0.000 0.000 0.500
0.333 0.667 0.170
0.667 0.333 0.830
```

The 10 most intense peaks (2θ from 10° to 90°), sorted by position:
- 16.72°, rel. 7.3
- 23.72°, rel. 7.1
- 25.19°, rel. 8.5
- 29.16°, rel. 100.0
- 34.88°, rel. 5.3
- 41.71°, rel. 75.4
- 51.71°, rel. 26.2
- 60.47°, rel. 12.8
- 68.52°, rel. 32.9
- 76.15°, rel. 24.9

***

Record 3
Diffraction record for La3Nb. The powder X-ray diffraction pattern is theoretical, not measured: it uses the GGA-PBE geometry in the Materials Project and a wavelength of 1.5418 Å.
Neutral-atom scattering factors, no anomalous dispersion.

Crystal structure
```
La3Nb
1.0
4.940 0.000 0.000
0.000 4.940 0.000
0.000 0.000 9.607
La Nb
6 2
direct
0.000 0.000 0.000
0.000 0.500 0.250
0.000 0.500 0.750
0.500 0.000 0.250
0.500 0.000 0.750
0.500 0.500 0.500
0.000 0.000 0.500
0.500 0.500 0.000
```

The 10 most intense peaks (2θ from 10° to 90°), sorted by position:
- 31.67°, rel. 100.0
- 36.38°, rel. 34.4
- 37.45°, rel. 15.9
- 52.39°, rel. 12.0
- 53.20°, rel. 22.9
- 62.53°, rel. 27.9
- 63.96°, rel. 13.0
- 66.16°, rel. 11.8
- 85.89°, rel. 5.8
- 87.18°, rel. 11.3

***

Record 4
Diffraction record for La3NbO7. The powder X-ray diffraction pattern is theoretical, not measured: it uses the GGA-PBE geometry in the Materials Project and a wavelength of 1.5418 Å.
Neutral-atom scattering factors, no anomalous dispersion.

Crystal structure
```
La3NbO7
1.0
5.603 -3.820 0.000
5.603 3.820 0.000
0.000 0.000 7.855
La Nb O
6 2 14
direct
0.000 0.000 0.000
0.000 0.000 0.500
0.068 0.478 0.750
0.478 0.068 0.250
0.522 0.932 0.750
0.932 0.522 0.250
0.500 0.500 0.000
0.500 0.500 0.500
0.107 0.153 0.250
0.153 0.107 0.750
0.187 0.562 0.032
0.187 0.562 0.468
0.437 0.563 0.750
0.438 0.813 0.032
0.438 0.813 0.468
0.562 0.187 0.532
0.562 0.187 0.968
0.563 0.437 0.250
0.813 0.438 0.532
0.813 0.438 0.968
0.847 0.893 0.250
0.893 0.847 0.750
```

The 10 most intense peaks (2θ from 10° to 90°), sorted by position:
- 27.74°, rel. 100.0
- 28.28°, rel. 89.3
- 30.52°, rel. 11.0
- 31.94°, rel. 21.3
- 32.70°, rel. 39.6
- 46.23°, rel. 18.8
- 46.37°, rel. 49.6
- 55.08°, rel. 27.0
- 56.01°, rel. 16.2
- 74.39°, rel. 14.0

***

Record 5
Diffraction record for LaNbO4. The powder X-ray diffraction pattern is theoretical, not measured: it uses the GGA-PBE geometry in the Materials Project and a wavelength of 1.5418 Å.
Neutral-atom scattering factors, no anomalous dispersion.

Crystal structure
```
LaNbO4
1.0
-2.724 2.724 5.869
2.724 -2.724 5.869
2.724 2.724 -5.869
La Nb O
2 2 8
direct
0.375 0.125 0.250
0.625 0.875 0.750
0.125 0.375 0.750
0.875 0.625 0.250
0.050 0.707 0.835
0.207 0.872 0.658
0.286 0.450 0.158
0.372 0.214 0.665
0.628 0.786 0.335
0.714 0.550 0.842
0.793 0.128 0.342
0.950 0.293 0.165
```

The 10 most intense peaks (2θ from 10° to 90°), sorted by position:
- 27.70°, rel. 100.0
- 30.46°, rel. 13.5
- 32.88°, rel. 19.7
- 45.43°, rel. 31.1
- 47.19°, rel. 14.1
- 52.46°, rel. 16.5
- 55.60°, rel. 27.7
- 57.21°, rel. 11.3
- 73.23°, rel. 19.1
- 86.50°, rel. 7.8

***

Record 6
Diffraction record for LaNb7O19. The powder X-ray diffraction pattern is theoretical, not measured: it uses the GGA-PBE geometry in the Materials Project and a wavelength of 1.5418 Å.
Neutral-atom scattering factors, no anomalous dispersion.

Crystal structure
```
LaNb7O19
1.0
6.341 0.000 0.000
-3.171 5.492 0.000
0.000 0.000 20.383
La Nb O
2 14 38
direct
0.333 0.667 0.153
0.667 0.333 0.847
0.000 0.359 0.500
0.000 0.645 0.000
0.001 0.359 0.312
0.333 0.667 0.842
0.355 0.355 0.000
0.359 0.000 0.500
0.359 0.001 0.688
0.359 0.999 0.312
0.641 0.641 0.312
0.641 0.641 0.500
0.641 0.641 0.688
0.645 0.000 0.000
0.667 0.333 0.158
0.999 0.359 0.688
0.000 0.242 0.000
0.000 0.754 0.306
0.000 0.754 0.694
0.000 0.756 0.500
0.033 0.409 0.403
0.051 0.429 0.792
0.056 0.618 0.906
0.242 0.000 0.000
0.244 0.244 0.500
0.246 0.246 0.306
0.246 0.246 0.694
0.333 0.667 0.023
0.333 0.667 0.285
0.333 0.667 0.511
0.333 0.667 0.683
0.376 0.967 0.403
0.378 0.949 0.792
0.382 0.437 0.906
0.409 0.033 0.597
0.429 0.051 0.208
0.437 0.382 0.094
0.563 0.944 0.906
0.571 0.622 0.792
0.591 0.624 0.403
0.618 0.056 0.094
0.622 0.571 0.208
0.624 0.591 0.597
0.667 0.333 0.317
0.667 0.333 0.489
0.667 0.333 0.715
0.667 0.333 0.977
0.754 0.000 0.306
0.754 0.000 0.694
0.756 0.000 0.500
0.758 0.758 0.000
0.944 0.563 0.094
0.949 0.378 0.208
0.967 0.376 0.597
```

The 10 most intense peaks (2θ from 10° to 90°), sorted by position:
- 16.14°, rel. 54.0
- 26.23°, rel. 72.8
- 28.49°, rel. 100.0
- 29.51°, rel. 28.8
- 31.13°, rel. 60.4
- 33.28°, rel. 33.5
- 35.88°, rel. 41.3
- 49.81°, rel. 57.2
- 53.44°, rel. 33.3
- 57.17°, rel. 44.4

***

Record 7
Diffraction record for LaNbO4. The powder X-ray diffraction pattern is theoretical, not measured: it uses the GGA-PBE geometry in the Materials Project and a wavelength of 1.5418 Å.
Neutral-atom scattering factors, no anomalous dispersion.

Crystal structure
```
LaNbO4
1.0
3.786 -5.850 0.000
3.786 5.850 0.000
-3.674 0.000 3.904
La Nb O
2 2 8
direct
0.127 0.873 0.750
0.873 0.127 0.250
0.385 0.615 0.250
0.615 0.385 0.750
0.137 0.553 0.338
0.220 0.292 0.828
0.292 0.220 0.328
0.447 0.863 0.162
0.553 0.137 0.838
0.708 0.780 0.672
0.780 0.708 0.172
0.863 0.447 0.662
```

The 10 most intense peaks (2θ from 10° to 90°), sorted by position:
- 27.47°, rel. 100.0
- 28.08°, rel. 94.8
- 30.56°, rel. 25.3
- 32.48°, rel. 20.4
- 33.45°, rel. 17.2
- 45.20°, rel. 30.1
- 45.93°, rel. 29.2
- 46.53°, rel. 14.9
- 52.45°, rel. 15.3
- 54.58°, rel. 16.4

***

Record 8
Diffraction record for La3NbO7. The powder X-ray diffraction pattern is theoretical, not measured: it uses the GGA-PBE geometry in the Materials Project and a wavelength of 1.5418 Å.
Neutral-atom scattering factors, no anomalous dispersion.

Crystal structure
```
La3NbO7
1.0
7.831 0.000 0.000
0.000 11.182 0.000
0.000 0.000 7.790
La Nb O
12 4 28
direct
0.008 0.250 0.214
0.249 0.523 0.044
0.249 0.977 0.044
0.251 0.023 0.544
0.251 0.477 0.544
0.492 0.750 0.714
0.508 0.250 0.286
0.749 0.523 0.456
0.749 0.977 0.456
0.751 0.023 0.956
0.751 0.477 0.956
0.992 0.750 0.786
0.007 0.250 0.747
0.493 0.750 0.247
0.507 0.250 0.753
0.993 0.750 0.253
0.032 0.128 0.951
0.032 0.372 0.951
0.038 0.617 0.410
0.038 0.883 0.410
0.246 0.618 0.772
0.246 0.882 0.772
0.247 0.250 0.682
0.253 0.750 0.182
0.254 0.118 0.272
0.254 0.382 0.272
0.462 0.117 0.910
0.462 0.383 0.910
0.468 0.628 0.451
0.468 0.872 0.451
0.532 0.128 0.549
0.532 0.372 0.549
0.538 0.617 0.090
0.538 0.883 0.090
0.746 0.618 0.728
0.746 0.882 0.728
0.747 0.250 0.818
0.753 0.750 0.318
0.754 0.118 0.228
0.754 0.382 0.228
0.962 0.117 0.590
0.962 0.383 0.590
0.968 0.628 0.049
0.968 0.872 0.049
```

The 10 most intense peaks (2θ from 10° to 90°), sorted by position:
- 27.82°, rel. 100.0
- 27.92°, rel. 88.8
- 32.02°, rel. 21.8
- 32.42°, rel. 39.9
- 46.21°, rel. 47.4
- 46.38°, rel. 18.4
- 51.01°, rel. 10.6
- 54.56°, rel. 20.3
- 55.00°, rel. 25.6
- 55.18°, rel. 12.0